No. 1
For SrAlIn, DFT lattice parameters and positions (GGA-PBE) gives the calculated XRD peak list in this record (Cu Ka).
Neutral-atom scattering factors, no anomalous dispersion.

Most intense lines, 2θ from 10° to 90°, in order of rising 2θ:
d = 5.795 Å, 2θ 15.3, rel. 56
d = 2.966 Å, 2θ 30.1, rel. 78
d = 2.926 Å, 2θ 30.5, rel. 100
d = 2.557 Å, 2θ 35.1, rel. 30
d = 2.476 Å, 2θ 36.3, rel. 39
d = 2.424 Å, 2θ 37.1, rel. 51

```
SrAlIn
1.0
-2.476 4.170 4.029
2.476 -4.170 4.029
2.476 4.170 -4.029
Sr Al In
2 2 2
direct
0.203 0.250 0.453
0.797 0.750 0.547
0.237 0.566 0.171
0.396 0.066 0.829
0.592 0.941 0.151
0.790 0.441 0.849
```



No. 2
For Sr6AlIn, DFT lattice parameters and positions (GGA-PBE) gives the calculated XRD peak list in this record (Cu Ka).
Neutral-atom scattering factors, no anomalous dispersion.

Most intense lines, 2θ from 10° to 90°, in order of rising 2θ:
d = 3.207 Å, 2θ 27.8, rel. 100
d = 2.903 Å, 2θ 30.8, rel. 54
d = 2.629 Å, 2θ 34.1, rel. 16
d = 2.214 Å, 2θ 40.8, rel. 14
d = 2.053 Å, 2θ 44.1, rel. 22
d = 1.729 Å, 2θ 53.0, rel. 32

```
Sr6AlIn
1.0
-2.903 2.903 10.271
2.903 -2.903 10.271
2.903 2.903 -10.271
Sr Al In
6 1 1
direct
0.093 0.593 0.500
0.250 0.250 0.000
0.407 0.907 0.500
0.593 0.093 0.500
0.750 0.750 0.000
0.907 0.407 0.500
0.000 0.000 0.000
0.500 0.500 0.000
```



No. 3
For Sr11Al4In3, DFT lattice parameters and positions (GGA-PBE) gives the calculated XRD peak list in this record (Cu Ka).
Neutral-atom scattering factors, no anomalous dispersion.

Most intense lines, 2θ from 10° to 90°, in order of rising 2θ:
d = 3.376 Å, 2θ 26.4, rel. 100
d = 3.101 Å, 2θ 28.8, rel. 62
d = 2.965 Å, 2θ 30.1, rel. 65
d = 2.923 Å, 2θ 30.6, rel. 82
d = 2.067 Å, 2θ 43.8, rel. 25
d = 1.790 Å, 2θ 51.0, rel. 35

```
Sr11Al4In3
1.0
0.000 8.770 8.770
8.770 0.000 8.770
8.770 8.770 0.000
Sr Al In
22 8 6
direct
0.000 0.000 0.000
0.000 0.000 0.337
0.000 0.000 0.663
0.000 0.337 0.000
0.000 0.337 0.663
0.000 0.663 0.000
0.000 0.663 0.337
0.106 0.631 0.631
0.337 0.000 0.000
0.337 0.000 0.663
0.337 0.663 0.000
0.369 0.369 0.369
0.369 0.369 0.894
0.369 0.894 0.369
0.500 0.500 0.500
0.631 0.106 0.631
0.631 0.631 0.106
0.631 0.631 0.631
0.663 0.000 0.000
0.663 0.000 0.337
0.663 0.337 0.000
0.894 0.369 0.369
0.195 0.195 0.195
0.195 0.195 0.416
0.195 0.416 0.195
0.416 0.195 0.195
0.584 0.805 0.805
0.805 0.584 0.805
0.805 0.805 0.584
0.805 0.805 0.805
0.280 0.280 0.720
0.280 0.720 0.280
0.280 0.720 0.720
0.720 0.280 0.280
0.720 0.280 0.720
0.720 0.720 0.280
```



No. 4
For SrTbAlIn, DFT lattice parameters and positions (GGA-PBE) gives the calculated XRD peak list in this record (Cu Ka).
Neutral-atom scattering factors, no anomalous dispersion.

Most intense lines, 2θ from 10° to 90°, in order of rising 2θ:
d = 4.440 Å, 2θ 20.0, rel. 19
d = 2.719 Å, 2θ 32.9, rel. 100
d = 1.923 Å, 2θ 47.3, rel. 18
d = 1.570 Å, 2θ 58.8, rel. 37
d = 1.359 Å, 2θ 69.1, rel. 11
d = 1.216 Å, 2θ 78.7, rel. 16

```
SrTbAlIn
1.0
0.000 3.845 3.845
3.845 0.000 3.845
3.845 3.845 0.000
Sr Tb Al In
1 1 1 1
direct
0.000 0.000 0.000
0.500 0.500 0.500
0.750 0.750 0.750
0.250 0.250 0.250
```



No. 5
For TbAl4In, DFT lattice parameters and positions (GGA-PBE) gives the calculated XRD peak list in this record (Cu Ka).
Neutral-atom scattering factors, no anomalous dispersion.

Most intense lines, 2θ from 10° to 90°, in order of rising 2θ:
d = 4.552 Å, 2θ 19.5, rel. 56
d = 2.788 Å, 2θ 32.1, rel. 94
d = 2.377 Å, 2θ 37.8, rel. 100
d = 1.609 Å, 2θ 57.2, rel. 36
d = 1.517 Å, 2θ 61.1, rel. 32
d = 1.394 Å, 2θ 67.2, rel. 21

```
TbAl4In
1.0
0.000 3.942 3.942
3.942 0.000 3.942
3.942 3.942 0.000
Tb Al In
1 4 1
direct
0.000 0.000 0.000
0.123 0.626 0.626
0.626 0.123 0.626
0.626 0.626 0.123
0.626 0.626 0.626
0.250 0.250 0.250
```



No. 6
For Tb8AlIn2, DFT lattice parameters and positions (GGA-PBE) gives the calculated XRD peak list in this record (Cu Ka).
Neutral-atom scattering factors, no anomalous dispersion.

Most intense lines, 2θ from 10° to 90°, in order of rising 2θ:
d = 3.172 Å, 2θ 28.1, rel. 43
d = 2.959 Å, 2θ 30.2, rel. 100
d = 2.868 Å, 2θ 31.2, rel. 59
d = 2.774 Å, 2θ 32.3, rel. 37
d = 2.691 Å, 2θ 33.3, rel. 70
d = 2.613 Å, 2θ 34.3, rel. 79

```
Tb8AlIn2
1.0
9.260 -2.613 0.000
9.260 2.613 0.000
-1.689 0.000 6.663
Tb Al In
8 1 2
direct
0.016 0.016 0.266
0.202 0.202 0.792
0.344 0.344 0.535
0.408 0.408 0.041
0.592 0.592 0.959
0.656 0.656 0.465
0.798 0.798 0.208
0.984 0.984 0.734
0.500 0.500 0.500
0.185 0.185 0.234
0.815 0.815 0.766
```



No. 7
For Tb4AlZn2In, DFT lattice parameters and positions (GGA-PBE) gives the calculated XRD peak list in this record (Cu Ka).
Neutral-atom scattering factors, no anomalous dispersion.

Most intense lines, 2θ from 10° to 90°, in order of rising 2θ:
d = 3.649 Å, 2θ 24.4, rel. 17
d = 2.580 Å, 2θ 34.8, rel. 100
d = 1.825 Å, 2θ 50.0, rel. 18
d = 1.490 Å, 2θ 62.3, rel. 27
d = 1.489 Å, 2θ 62.4, rel. 9
d = 1.154 Å, 2θ 83.8, rel. 15

```
Tb4AlZn2In
1.0
2.579 1.489 8.438
-2.579 1.489 8.438
0.000 -2.978 8.438
Tb Al Zn In
4 1 2 1
direct
0.122 0.122 0.122
0.372 0.372 0.372
0.628 0.628 0.628
0.878 0.878 0.878
0.000 0.000 0.000
0.250 0.250 0.250
0.750 0.750 0.750
0.500 0.500 0.500
```



No. 8
For Th4AlIn, DFT lattice parameters and positions (GGA-PBE) gives the calculated XRD peak list in this record (Cu Ka).
Neutral-atom scattering factors, no anomalous dispersion.

Most intense lines, 2θ from 10° to 90°, in order of rising 2θ:
d = 2.986 Å, 2θ 29.9, rel. 100
d = 2.948 Å, 2θ 30.3, rel. 14
d = 2.449 Å, 2θ 36.7, rel. 25
d = 1.709 Å, 2θ 53.6, rel. 20
d = 1.552 Å, 2θ 59.6, rel. 15
d = 1.397 Å, 2θ 67.0, rel. 14

```
Th4AlIn
1.0
7.744 0.000 0.000
0.000 7.744 0.000
0.000 0.000 5.896
Th Al In
8 2 2
direct
0.148 0.338 0.000
0.148 0.662 0.500
0.338 0.148 0.500
0.338 0.852 0.000
0.662 0.148 0.000
0.662 0.852 0.500
0.852 0.338 0.500
0.852 0.662 0.000
0.000 0.000 0.250
0.000 0.000 0.750
0.500 0.500 0.250
0.500 0.500 0.750
```



No. 9
For ThAlIn, DFT lattice parameters and positions (GGA-PBE) gives the calculated XRD peak list in this record (Cu Ka).
Neutral-atom scattering factors, no anomalous dispersion.

Most intense lines, 2θ from 10° to 90°, in order of rising 2θ:
d = 3.967 Å, 2θ 22.4, rel. 34
d = 2.882 Å, 2θ 31.0, rel. 100
d = 2.291 Å, 2θ 39.3, rel. 38
d = 1.793 Å, 2θ 50.9, rel. 25
d = 1.546 Å, 2θ 59.8, rel. 23
d = 1.412 Å, 2θ 66.2, rel. 23

```
ThAlIn
1.0
4.581 0.000 0.000
-2.291 3.967 0.000
0.000 0.000 4.192
Th Al In
1 1 1
direct
0.000 0.000 0.000
0.667 0.333 0.500
0.333 0.667 0.500
```



No. 10
For Ti5Al2In, DFT lattice parameters and positions (GGA-PBE) gives the calculated XRD peak list in this record (Cu Ka).
Neutral-atom scattering factors, no anomalous dispersion.

Most intense lines, 2θ from 10° to 90°, in order of rising 2θ:
d = 4.986 Å, 2θ 17.8, rel. 27
d = 2.493 Å, 2θ 36.0, rel. 27
d = 2.462 Å, 2θ 36.5, rel. 52
d = 2.420 Å, 2θ 37.1, rel. 97
d = 2.230 Å, 2θ 40.5, rel. 100
d = 2.208 Å, 2θ 40.9, rel. 41

```
Ti5Al2In
1.0
-3.525 3.525 5.663
3.525 -3.525 5.663
3.525 3.525 -5.663
Ti Al In
10 4 2
direct
0.000 0.000 0.000
0.006 0.506 0.197
0.191 0.994 0.500
0.309 0.809 0.803
0.494 0.691 0.500
0.500 0.500 0.000
0.506 0.309 0.500
0.691 0.191 0.197
0.809 0.006 0.500
0.994 0.494 0.803
0.141 0.359 0.500
0.359 0.859 0.217
0.641 0.141 0.783
0.859 0.641 0.500
0.250 0.250 0.000
0.750 0.750 0.000
```



No. 11
For Ti8Al3In2, DFT lattice parameters and positions (GGA-PBE) gives the calculated XRD peak list in this record (Cu Ka).
Neutral-atom scattering factors, no anomalous dispersion.

Most intense lines, 2θ from 10° to 90°, in order of rising 2θ:
d = 8.450 Å, 2θ 10.5, rel. 65
d = 2.671 Å, 2θ 33.6, rel. 41
d = 2.343 Å, 2θ 38.4, rel. 55
d = 2.336 Å, 2θ 38.5, rel. 44
d = 2.303 Å, 2θ 39.1, rel. 55
d = 2.276 Å, 2θ 39.6, rel. 100

```
Ti8Al3In2
1.0
-1.478 4.607 8.450
1.478 -4.607 8.450
1.478 4.607 -8.450
Ti Al In
8 3 2
direct
0.076 0.076 0.000
0.104 0.847 0.258
0.368 0.368 0.000
0.411 0.153 0.258
0.589 0.847 0.742
0.632 0.632 0.000
0.896 0.153 0.742
0.924 0.924 0.000
0.234 0.500 0.734
0.500 0.000 0.500
0.766 0.500 0.266
0.223 0.723 0.500
0.777 0.277 0.500
```



No. 12
For Ti9Al2In, DFT lattice parameters and positions (GGA-PBE) gives the calculated XRD peak list in this record (Cu Ka).
Neutral-atom scattering factors, no anomalous dispersion.

Most intense lines, 2θ from 10° to 90°, in order of rising 2θ:
d = 3.873 Å, 2θ 23.0, rel. 9
d = 2.358 Å, 2θ 38.2, rel. 100
d = 2.042 Å, 2θ 44.4, rel. 47
d = 1.444 Å, 2θ 64.5, rel. 28
d = 1.231 Å, 2θ 77.5, rel. 31
d = 1.179 Å, 2θ 81.7, rel. 9

```
Ti9Al2In
1.0
4.082 0.000 0.000
0.000 4.082 0.000
0.000 0.000 12.259
Ti Al In
9 2 1
direct
0.000 0.000 0.000
0.000 0.000 0.336
0.000 0.000 0.664
0.000 0.500 0.174
0.000 0.500 0.500
0.000 0.500 0.826
0.500 0.000 0.174
0.500 0.000 0.500
0.500 0.000 0.826
0.500 0.500 0.336
0.500 0.500 0.664
0.500 0.500 0.000
```